Structure and calculated X-ray diffraction stick pattern of TbGd3As4O4 (a GGA-PBE-relaxed structure; Cu Kα X-rays).
Intensities are scaled so that the largest is 100.

Structure:
a = 5.6169 Å, b = 5.6183 Å, c = 7.1716 Å
α = 91.25°, β = 91.60°, γ = 90.32°
Element x y z (fractional)
1 Tb 0.0000 0.0000 0.0000
2 Gd 0.0104 0.5078 0.3077
3 Gd 0.4999 0.4999 0.9985
4 Gd 0.5104 0.0077 0.3077
5 As 0.2387 0.2367 0.6550
6 As 0.2744 0.7744 0.6521
7 As 0.7391 0.7368 0.6550
8 As 0.7745 0.2739 0.6521
9 O 0.2541 0.7540 0.1516
10 O 0.2548 0.2536 0.1537
11 O 0.7555 0.2526 0.1517
12 O 0.7562 0.7550 0.1538

Largest 10 diffraction maxima, sorted by position, 2θ = 10–90°:
hkl	2theta	Rel. int.
1 1 -1	25.32	34
1 -1 1	25.59	100
1 1 1	26.10	65
1 1 -2	33.12	43
-1 1 2	33.57	31
2 0 -1	34.00	68
0 2 1	34.60	54
0 0 3	37.65	49
2 -2 0	45.55	39
2 2 0	45.84	36